Record 1
Simulated XRD peak list
Compound: Na2AcGaSb2
Radiation: Cu Kα X-rays
Structure: a structure optimized by DFT (GGA-PBE)
Neutral-atom scattering factors, no anomalous dispersion.

```
Na2AcGaSb2
1.0
4.6974 0.0000 0.0000
0.0000 9.1845 0.0000
0.0000 0.0000 8.6257
Na Ac Ga Sb
4 2 2 4
Cartesian
0.0000 0.8242 0.0000
0.0000 8.3603 4.3129
2.3487 1.3199 2.8904
2.3487 7.8646 7.2032
2.3487 4.3864 8.4746
2.3487 4.7981 4.1617
0.0000 2.9473 5.3505
0.0000 6.2372 1.0377
0.0000 3.2504 2.0435
0.0000 5.9341 6.3563
2.3487 1.6625 6.2703
2.3487 7.5220 1.9575
```

The 10 most intense peaks (2θ = 10–90°), low angle first:
- 2θ = 22.8°, I = 22, hkl 0 1 2
- 2θ = 23.6°, I = 29, hkl 1 1 1
- 2θ = 28.4°, I = 48, hkl 0 2 2
- 2θ = 29.1°, I = 20, hkl 0 3 0
- 2θ = 29.8°, I = 100, hkl 1 1 2
- 2θ = 34.3°, I = 30, hkl 1 2 2
- 2θ = 35.0°, I = 64, hkl 1 3 0
- 2θ = 38.0°, I = 22, hkl 1 1 3
- 2θ = 38.3°, I = 31, hkl 2 0 0
- 2θ = 48.4°, I = 22, hkl 2 2 2

Record 2
Simulated XRD peak list
Compound: Ce2TaN4
Radiation: Cu Kα X-rays
Structure: a structure optimized by DFT (GGA-PBE)
Neutral-atom scattering factors, no anomalous dispersion.

```
Ce2TaN4
1.0
5.6749 0.0000 0.0000
0.0000 12.3447 0.0000
0.0000 0.0000 5.7270
Ce Ta N
8 4 16
Cartesian
0.1998 1.8221 0.0789
0.1998 4.3502 2.9424
2.6377 7.9945 0.0789
2.6377 10.5225 2.9424
3.0372 1.8221 2.7846
3.0372 4.3502 5.6481
5.4751 7.9945 2.7846
5.4751 10.5225 5.6481
0.0000 0.0000 2.8635
0.0000 6.1723 0.0000
2.8374 0.0000 0.0000
2.8374 6.1723 2.8635
0.1122 8.2830 0.4272
0.1122 10.2340 3.2907
1.1533 6.4566 4.0352
1.1533 12.0604 1.1717
1.6841 0.2843 4.0352
1.6841 5.8880 1.1717
2.7252 2.1107 0.4272
2.7252 4.0617 3.2907
2.9497 8.2830 2.4363
2.9497 10.2340 5.2998
3.9908 6.4566 4.5553
3.9908 12.0604 1.6918
4.5215 0.2843 4.5553
4.5215 5.8880 1.6918
5.5626 2.1107 2.4363
5.5626 4.0617 5.2998
```

The 10 most intense peaks (2θ = 10–90°), low angle first:
- 2θ = 14.3°, I = 12, hkl 0 2 0
- 2θ = 31.1°, I = 100, hkl 1 3 1
- 2θ = 31.2°, I = 30, hkl 0 0 2
- 2θ = 31.5°, I = 28, hkl 2 0 0
- 2θ = 43.0°, I = 11, hkl 1 5 1
- 2θ = 44.0°, I = 11, hkl 0 6 0
- 2θ = 45.0°, I = 23, hkl 2 0 2
- 2θ = 55.5°, I = 22, hkl 1 3 3
- 2θ = 55.8°, I = 16, hkl 3 3 1
- 2θ = 64.7°, I = 11, hkl 2 6 2